Diffraction record for BaV2P4O14. The XRD peak list is computed, not measured: it uses a cell relaxed with GGA+U and λ = 1.5418 Å (Cu Kα).

Structural model:
Cell lengths 10.793, 10.684, 9.948 Å; angles 90.00, 103.28, 90.00 degrees
Space group C2/c (No. 15)
Unique sites:
Ba1 0.250 0.250 0.000 x4
V1 0.000 0.000 0.000 x4
V2 0.000 0.455 0.250 x4
P1 0.063 0.312 0.555 x8
P2 0.219 0.040 0.297 x8
O1 0.030 0.176 0.577 x8
O2 0.031 0.397 0.891 x8
O3 0.069 0.340 0.406 x8
O4 0.135 0.079 0.158 x8
O5 0.146 0.001 0.404 x8
O6 0.181 0.441 0.208 x8
O7 0.204 0.330 0.653 x8

Top 12 peaks for 5 to 70 degrees two-theta, by angle:
2θ/deg  intensity  h k l
13.71  58.7  1 1 -1
23.46  44.4  1 1 2
24.82  100.0  0 2 2
26.38  66.8  3 1 -1
27.35  46.5  1 3 -1
28.26  69.5  1 1 -3
30.25  52.2  3 1 1
32.53  34.9  2 2 2
33.51  35.5  0 4 0
34.17  45.4  4 0 0
35.63  37.9  3 3 -1
44.70  44.0  4 0 -4

Diffraction record for BaV2P2O14. The XRD peak list is computed, not measured: it uses a cell relaxed with GGA+U and λ = 1.5418 Å (Cu Kα).

Structural model:
Cell lengths 6.343, 13.620, 8.963 Å; angles 90.00, 134.95, 90.00 degrees
Space group Pc (No. 7)
Unique sites:
Ba1 0.000 0.248 0.000 x2
V1 0.335 0.466 0.757 x2
V2 0.757 0.032 0.561 x2
P1 0.254 0.002 0.065 x2
P2 0.846 0.497 0.765 x2
O1 0.026 0.432 0.456 x2
O2 0.052 0.068 0.555 x2
O3 0.058 0.428 0.782 x2
O4 0.061 0.071 0.868 x2
O5 0.314 0.414 0.237 x2
O6 0.401 0.268 0.830 x2
O7 0.429 0.073 0.257 x2
O8 0.429 0.253 0.458 x2
O9 0.441 0.246 0.984 x2
O10 0.468 0.060 0.577 x2
O11 0.647 0.427 0.762 x2
O12 0.658 0.440 0.064 x2
O13 0.695 0.230 0.563 x2
O14 0.778 0.087 0.059 x2

Top 12 peaks for 5 to 70 degrees two-theta, by angle:
2θ/deg  intensity  h k l
15.41  100.0  1 1 -1
19.80  14.4  1 0 -2
24.11  47.8  0 3 1
26.17  39.1  0 4 0
28.14  28.4  2 0 -2
28.90  41.5  0 1 2
31.11  52.8  2 2 -2
32.23  34.1  1 1 -3
37.38  43.6  1 3 -3
38.80  19.4  2 4 -2
42.43  22.2  2 2 0
46.20  16.1  1 5 -3

Diffraction record for BaV2P4O14. The XRD peak list is computed, not measured: it uses a cell relaxed with GGA+U and λ = 1.5418 Å (Cu Kα).

Structural model:
Cell lengths 6.262, 6.381, 8.063 Å; angles 96.44, 101.24, 105.91 degrees
Space group P-1 (No. 2)
Unique sites:
Ba1 0.000 0.000 0.000 x1
V1 0.380 0.692 0.231 x2
P1 0.186 0.472 0.810 x2
P2 0.480 0.246 0.334 x2
O1 0.062 0.670 0.260 x2
O2 0.222 0.647 0.968 x2
O3 0.261 0.605 0.662 x2
O4 0.314 0.359 0.241 x2
O5 0.331 0.313 0.842 x2
O6 0.429 0.021 0.219 x2
O7 0.473 0.233 0.518 x2

Top 12 peaks for 5 to 70 degrees two-theta, by angle:
2θ/deg  intensity  h k l
11.37  100.0  0 0 1
16.66  91.9  1 0 -1
20.12  29.5  0 1 1
20.45  46.1  -1 1 1
21.04  35.5  1 0 1
28.84  94.0  1 -2 0
29.39  61.7  0 1 2
29.61  33.9  2 -1 0
29.79  60.4  0 2 -1
30.03  29.0  -2 1 1
30.45  39.4  1 0 2
35.18  30.9  0 1 -3